Structure and computed PXRD pattern of LiCdInGa (a PBE-relaxed structure; λ = 1.5418 Å (Cu Kα)).
Neutral-atom scattering factors, no anomalous dispersion.

Cell and atoms:
Lattice parameters (Å, degrees): 5.260 5.260 6.080 90.00 90.00 90.00
Space group I-4m2 (No. 119)
Symmetry-distinct sites (fractional):
1 Li 0.000 0.000 0.000 (multiplicity 2)
2 Cd 0.000 0.500 0.250 (multiplicity 2)
3 In 0.000 0.000 0.500 (multiplicity 2)
4 Ga 0.000 0.500 0.750 (multiplicity 2)

The 10 most intense peaks (2θ from 10° to 90°), most intense first:
2θ = 38.24°, d 2.354, I = 100.0
2θ = 34.09°, d 2.630, I = 68.8
2θ = 22.35°, d 3.978, I = 59.4
2θ = 63.78°, d 1.459, I = 42.2
2θ = 48.98°, d 1.860, I = 24.1
2θ = 41.15°, d 2.194, I = 23.9
2θ = 71.74°, d 1.316, I = 22.1
2θ = 81.87°, d 1.177, I = 20.6
2θ = 84.37°, d 1.148, I = 9.6
2θ = 23.92°, d 3.719, I = 7.8

Structure and computed PXRD pattern of Pr2TmCu4 (a PBE-relaxed structure; λ = 1.5418 Å (Cu Kα)).
Neutral-atom scattering factors, no anomalous dispersion.

Cell and atoms:
Lattice parameters (Å, degrees): 10.307 4.460 6.836 90.00 108.50 90.00
Space group C2/m (No. 12)
Symmetry-distinct sites (fractional):
1 Pr 0.149 0.000 0.227 (multiplicity 4)
2 Tm 0.000 0.500 0.500 (multiplicity 2)
3 Cu 0.098 0.500 0.923 (multiplicity 4)
4 Cu 0.147 0.000 0.756 (multiplicity 4)

The 10 most intense peaks (2θ from 10° to 90°), most intense first:
2θ = 34.08°, d 2.631, I = 100.0
2θ = 37.74°, d 2.384, I = 97.0
2θ = 40.45°, d 2.230, I = 59.1
2θ = 24.30°, d 3.663, I = 51.7
2θ = 33.02°, d 2.713, I = 48.6
2θ = 38.14°, d 2.360, I = 36.4
2θ = 67.38°, d 1.390, I = 32.1
2θ = 34.89°, d 2.572, I = 30.9
2θ = 33.31°, d 2.690, I = 25.8
2θ = 47.09°, d 1.930, I = 22.5

Structure and computed PXRD pattern of HfPd4Au3 (a PBE-relaxed structure; λ = 1.5418 Å (Cu Kα)).
Neutral-atom scattering factors, no anomalous dispersion.

Cell and atoms:
Lattice parameters (Å, degrees): 5.828 5.831 8.435 90.00 110.05 90.00
Space group C2/m (No. 12)
Symmetry-distinct sites (fractional):
1 Hf 0.000 0.000 0.000 (multiplicity 2)
2 Pd 0.129 0.250 0.758 (multiplicity 8)
3 Au 0.000 0.500 0.000 (multiplicity 2)
4 Au 0.246 0.500 0.493 (multiplicity 4)

The 10 most intense peaks (2θ from 10° to 90°), most intense first:
2θ = 38.32°, d 2.349, I = 100.0
2θ = 43.93°, d 2.061, I = 45.7
2θ = 38.40°, d 2.344, I = 33.2
2θ = 76.98°, d 1.239, I = 26.3
2θ = 45.81°, d 1.981, I = 19.7
2θ = 63.87°, d 1.457, I = 15.0
2θ = 65.26°, d 1.430, I = 13.7
2θ = 65.41°, d 1.427, I = 13.6
2θ = 79.68°, d 1.203, I = 11.4
2θ = 22.44°, d 3.962, I = 9.6

Please write out number 2 again, unchanged.
Structure and computed PXRD pattern of Pr2TmCu4 (a PBE-relaxed structure; λ = 1.5418 Å (Cu Kα)).
Neutral-atom scattering factors, no anomalous dispersion.

Cell and atoms:
Lattice parameters (Å, degrees): 10.307 4.460 6.836 90.00 108.50 90.00
Space group C2/m (No. 12)
Symmetry-distinct sites (fractional):
1 Pr 0.149 0.000 0.227 (multiplicity 4)
2 Tm 0.000 0.500 0.500 (multiplicity 2)
3 Cu 0.098 0.500 0.923 (multiplicity 4)
4 Cu 0.147 0.000 0.756 (multiplicity 4)

The 10 most intense peaks (2θ from 10° to 90°), most intense first:
2θ = 34.08°, d 2.631, I = 100.0
2θ = 37.74°, d 2.384, I = 97.0
2θ = 40.45°, d 2.230, I = 59.1
2θ = 24.30°, d 3.663, I = 51.7
2θ = 33.02°, d 2.713, I = 48.6
2θ = 38.14°, d 2.360, I = 36.4
2θ = 67.38°, d 1.390, I = 32.1
2θ = 34.89°, d 2.572, I = 30.9
2θ = 33.31°, d 2.690, I = 25.8
2θ = 47.09°, d 1.930, I = 22.5

- What is the formula in the first record?
  LiCdInGa